(1)
Structure and calculated powder diffraction line list of Cs2LiCl3 (DFT lattice parameters and positions (GGA-PBE); Cu Kα, 1.54184 Å).

Cell and atoms:
Cell: 11.9236 11.9236 7.8897 Å, 90.00 90.00 159.35°
Fractional coordinates of all 12 atoms:
Cs 0.0030 0.9970 0.7500
Cs 0.1782 0.8218 0.2500
Cs 0.8218 0.1782 0.7500
Cs 0.9970 0.0030 0.2500
Li 0.3522 0.6478 0.2500
Li 0.6478 0.3522 0.7500
Cl 0.2019 0.7981 0.7500
Cl 0.4115 0.5885 0.0022
Cl 0.4115 0.5885 0.4978
Cl 0.5885 0.4115 0.5022
Cl 0.5885 0.4115 0.9978
Cl 0.7981 0.2019 0.2500

Most intense lines, 5° ≤ 2θ ≤ 70°, sorted by position:
2θ 21.1, d = 4.205 Å, I 30; 2θ 22.5, d = 3.945 Å, I 40; 2θ 22.7, d = 3.910 Å, I 26; 2θ 28.2, d = 3.160 Å, I 100; 2θ 31.1, d = 2.877 Å, I 90; 2θ 32.2, d = 2.777 Å, I 68; 2θ 36.4, d = 2.466 Å, I 35; 2θ 53.3, d = 1.718 Å, I 31; 2θ 54.2, d = 1.694 Å, I 29; 2θ 54.9, d = 1.673 Å, I 28

(2)
Structure and calculated powder diffraction line list of Ca12Al14O33 (DFT lattice parameters and positions (GGA-PBE); Cu Kα, 1.54184 Å).

Cell and atoms:
Cell: 10.4495 10.4603 10.4690 Å, 109.33 109.92 109.10°
Fractional coordinates of all 59 atoms:
Ca 0.0000 0.0000 0.0000
Ca 0.0052 0.4764 0.4763
Ca 0.0529 0.6117 0.1662
Ca 0.1261 0.5095 0.8717
Ca 0.3600 0.1118 0.9733
Ca 0.3857 0.2569 0.3652
Ca 0.4985 0.7491 0.2548
Ca 0.5056 0.2310 0.7289
Ca 0.6109 0.9723 0.8608
Ca 0.7049 0.6115 0.8134
Ca 0.8631 0.7280 0.3650
Ca 0.8902 0.1168 0.5065
Al 0.0005 0.7394 0.7372
Al 0.1263 0.9917 0.3663
Al 0.2156 0.8287 0.5752
Al 0.2505 0.4010 0.1153
Al 0.2512 0.9023 0.1163
Al 0.2879 0.3674 0.6174
Al 0.3745 0.6135 0.4894
Al 0.4979 0.4895 0.9884
Al 0.6233 0.1132 0.2402
Al 0.7102 0.3255 0.0792
Al 0.7474 0.8615 0.6496
Al 0.7504 0.8667 0.1529
Al 0.7863 0.3647 0.6141
Al 0.8743 0.2401 0.8658
O 0.0463 0.7619 0.5963
O 0.0636 0.3853 0.0229
O 0.1210 0.3635 0.6223
O 0.1321 0.8406 0.4021
O 0.1587 0.8835 0.9274
O 0.1631 0.9866 0.2130
O 0.2338 0.6600 0.5134
O 0.2462 0.2292 0.1056
O 0.2650 0.7426 0.1200
O 0.2711 0.1784 0.5263
O 0.3398 0.4786 0.0184
O 0.3435 0.4461 0.5071
O 0.3582 0.5664 0.3046
O 0.3804 0.9988 0.7419
O 0.4353 0.0752 0.2072
O 0.4627 0.4576 0.8011
O 0.5389 0.3416 0.9994
O 0.5600 0.7797 0.6299
O 0.6105 0.3503 0.5985
O 0.6296 0.1530 0.0913
O 0.6542 0.6793 0.1346
O 0.6549 0.9561 0.2301
O 0.7263 0.2395 0.9104
O 0.7540 0.8643 0.4856
O 0.7577 0.8766 0.9929
O 0.7737 0.2665 0.4282
O 0.8455 0.0507 0.8202
O 0.8448 0.7725 0.7316
O 0.8625 0.2693 0.7069
O 0.8709 0.4911 0.2502
O 0.8898 0.5862 0.9546
O 0.9368 0.9597 0.3251
O 0.9553 0.5462 0.6866

Most intense lines, 5° ≤ 2θ ≤ 70°, sorted by position:
2θ 18.0, d = 4.936 Å, I 100; 2θ 18.1, d = 4.914 Å, I 18; 2θ 27.6, d = 3.235 Å, I 15; 2θ 29.5, d = 3.029 Å, I 25; 2θ 29.8, d = 3.003 Å, I 17; 2θ 33.1, d = 2.708 Å, I 63; 2θ 33.3, d = 2.690 Å, I 16; 2θ 36.4, d = 2.470 Å, I 37; 2θ 40.8, d = 2.211 Å, I 20; 2θ 41.1, d = 2.196 Å, I 15

(3)
Structure and calculated powder diffraction line list of K2SnHOF6 (DFT lattice parameters and positions (GGA-PBE); Cu Kα, 1.54184 Å).

Cell and atoms:
Cell: 10.9286 9.3474 11.3739 Å, 62.77 49.51 67.72°
Fractional coordinates of all 44 atoms:
K 0.0000 0.0000 0.0000
K 0.0930 0.8394 0.6580
K 0.2500 0.2500 0.2500
K 0.4372 0.4372 0.5628
K 0.5920 0.8404 0.1570
K 0.6872 0.6872 0.8128
K 0.8394 0.0930 0.4096
K 0.8404 0.5920 0.4106
Sn 0.1822 0.7522 0.3134
Sn 0.4978 0.9366 0.4978
Sn 0.7522 0.1822 0.7522
Sn 0.9366 0.4978 0.0678
H 0.2056 0.2386 0.8963
H 0.2386 0.2056 0.6595
H 0.3537 0.5905 0.0444
H 0.5905 0.3537 0.0114
O 0.1745 0.2612 0.7430
O 0.2612 0.1745 0.8213
O 0.4287 0.5070 0.9888
O 0.5070 0.4287 0.0755
F 0.0147 0.3743 0.2113
F 0.0387 0.8503 0.2353
F 0.1585 0.5013 0.8606
F 0.1631 0.5386 0.3289
F 0.1783 0.9771 0.2969
F 0.2806 0.9211 0.7114
F 0.3113 0.6696 0.4057
F 0.3743 0.0147 0.3997
F 0.3894 0.7705 0.0915
F 0.5013 0.1585 0.4795
F 0.5078 0.7105 0.5120
F 0.5386 0.1631 0.9694
F 0.6367 0.8443 0.5804
F 0.6696 0.3113 0.6133
F 0.7023 0.9531 0.2729
F 0.7105 0.5078 0.2697
F 0.7380 0.9803 0.7422
F 0.7705 0.3894 0.7487
F 0.8443 0.6367 0.9387
F 0.8503 0.0387 0.8757
F 0.9211 0.2806 0.0869
F 0.9531 0.7023 0.0717
F 0.9771 0.1784 0.5477
F 0.9803 0.7380 0.5395

Most intense lines, 5° ≤ 2θ ≤ 70°, sorted by position:
2θ 10.7, d = 8.250 Å, I 46; 2θ 16.1, d = 5.509 Å, I 48; 2θ 17.3, d = 5.115 Å, I 95; 2θ 19.1, d = 4.643 Å, I 83; 2θ 19.8, d = 4.492 Å, I 74; 2θ 25.5, d = 3.488 Å, I 34; 2θ 27.6, d = 3.229 Å, I 100; 2θ 38.8, d = 2.322 Å, I 44; 2θ 39.2, d = 2.296 Å, I 33; 2θ 40.1, d = 2.246 Å, I 35

(4)
Structure and calculated powder diffraction line list of La2MgSe4 (DFT lattice parameters and positions (GGA-PBE); Cu Kα, 1.54184 Å).

Cell and atoms:
Cell: 13.7076 4.2008 14.8356 Å, 90.00 90.00 90.00°
Fractional coordinates of all 28 atoms:
La 0.1214 0.2500 0.0748
La 0.1315 0.2500 0.7054
La 0.3685 0.7500 0.2054
La 0.3786 0.7500 0.5748
La 0.6214 0.2500 0.4252
La 0.6315 0.2500 0.7946
La 0.8685 0.7500 0.2946
La 0.8786 0.7500 0.9252
Mg 0.1060 0.7500 0.4641
Mg 0.3940 0.2500 0.9641
Mg 0.6060 0.7500 0.0359
Mg 0.8940 0.2500 0.5359
Se 0.0003 0.2500 0.3870
Se 0.9997 0.7500 0.6130
Se 0.0267 0.2500 0.8856
Se 0.2298 0.2500 0.2457
Se 0.2298 0.2500 0.5152
Se 0.2702 0.7500 0.0152
Se 0.2702 0.7500 0.7457
Se 0.4733 0.7500 0.3856
Se 0.5003 0.2500 0.1130
Se 0.4997 0.7500 0.8870
Se 0.5267 0.2500 0.6144
Se 0.7298 0.2500 0.2543
Se 0.7298 0.2500 0.9848
Se 0.7702 0.7500 0.4848
Se 0.7702 0.7500 0.7543
Se 0.9733 0.7500 0.1144

Most intense lines, 5° ≤ 2θ ≤ 70°, sorted by position:
2θ 13.6, d = 6.524 Å, I 68; 2θ 22.2, d = 4.010 Å, I 51; 2θ 24.9, d = 3.582 Å, I 100; 2θ 27.3, d = 3.262 Å, I 72; 2θ 29.5, d = 3.027 Å, I 48; 2θ 31.3, d = 2.854 Å, I 94; 2θ 37.7, d = 2.387 Å, I 36; 2θ 38.5, d = 2.339 Å, I 51; 2θ 43.0, d = 2.106 Å, I 40; 2θ 43.1, d = 2.100 Å, I 44

(5)
Structure and calculated powder diffraction line list of KPrHf2O6 (DFT lattice parameters and positions (GGA-PBE); Cu Kα, 1.54184 Å).

Cell and atoms:
Cell: 5.8350 5.8350 5.8350 Å, 60.00 60.00 60.00°
Fractional coordinates of all 10 atoms:
K 0.0000 0.0000 0.0000
Pr 0.5000 0.5000 0.5000
Hf 0.2500 0.2500 0.2500
Hf 0.7500 0.7500 0.7500
O 0.0000 0.0000 0.5000
O 0.0000 0.5000 0.0000
O 0.0000 0.5000 0.5000
O 0.5000 0.0000 0.0000
O 0.5000 0.0000 0.5000
O 0.5000 0.5000 0.0000

Most intense lines, 5° ≤ 2θ ≤ 70°, sorted by position:
2θ 18.6, d = 4.764 Å, I 9; 2θ 21.5, d = 4.126 Å, I 20; 2θ 30.6, d = 2.917 Å, I 100; 2θ 36.1, d = 2.488 Å, I 5; 2θ 43.9, d = 2.063 Å, I 29; 2θ 48.1, d = 1.893 Å, I 2; 2θ 49.4, d = 1.845 Å, I 9; 2θ 54.5, d = 1.684 Å, I 41; 2θ 63.8, d = 1.459 Å, I 18; 2θ 68.2, d = 1.375 Å, I 4

(6)
Structure and calculated powder diffraction line list of CuF2 (DFT lattice parameters and positions (GGA-PBE); Cu Kα, 1.54184 Å).

Cell and atoms:
Cell: 3.7470 3.7470 3.6073 Å, 90.00 90.00 90.00°
Fractional coordinates of all 3 atoms:
Cu 0.0000 0.0000 0.0000
F 0.0000 0.5000 0.0000
F 0.5000 0.0000 0.0000

Most intense lines, 5° ≤ 2θ ≤ 70°, sorted by position:
2θ 23.7, d = 3.747 Å, I 86; 2θ 24.7, d = 3.607 Å, I 100; 2θ 34.5, d = 2.599 Å, I 65; 2θ 42.3, d = 2.135 Å, I 7; 2θ 48.6, d = 1.874 Å, I 28; 2θ 50.6, d = 1.804 Å, I 12; 2θ 54.8, d = 1.676 Å, I 16; 2θ 55.2, d = 1.663 Å, I 36; 2θ 56.6, d = 1.625 Å, I 14; 2θ 61.0, d = 1.520 Å, I 23

(7)
Structure and calculated powder diffraction line list of Re3Te4C3N3 (DFT lattice parameters and positions (GGA-PBE); Cu Kα, 1.54184 Å).

Cell and atoms:
Cell: 10.9855 11.0581 21.5441 Å, 90.00 117.60 90.00°
Fractional coordinates of all 52 atoms:
Re 0.0255 0.0717 0.4260
Re 0.0255 0.4283 0.9260
Re 0.1270 0.6265 0.0086
Re 0.1270 0.8735 0.5086
Re 0.1493 0.0953 0.5673
Re 0.1493 0.4047 0.0673
Re 0.8507 0.5953 0.9327
Re 0.8507 0.9047 0.4327
Re 0.8730 0.1265 0.4914
Re 0.8730 0.3735 0.9914
Re 0.9745 0.5717 0.0740
Re 0.9745 0.9283 0.5740
Te 0.0036 0.6497 0.8665
Te 0.0036 0.8503 0.3665
Te 0.0480 0.2053 0.9853
Te 0.0480 0.2947 0.4853
Te 0.2509 0.6024 0.1506
Te 0.2509 0.8976 0.6506
Te 0.3019 0.0397 0.5009
Te 0.3019 0.4603 0.0009
Te 0.6981 0.5397 0.9991
Te 0.6981 0.9603 0.4991
Te 0.7491 0.1024 0.3494
Te 0.7491 0.3976 0.8494
Te 0.9520 0.7053 0.5147
Te 0.9520 0.7947 0.0147
Te 0.9964 0.1497 0.6335
Te 0.9964 0.3503 0.1335
C 0.0559 0.1514 0.3465
C 0.0559 0.3486 0.8465
C 0.2621 0.7351 0.5176
C 0.2621 0.7649 0.0176
C 0.3153 0.1953 0.6396
C 0.3153 0.3047 0.1396
C 0.6847 0.6953 0.8604
C 0.6847 0.8047 0.3604
C 0.7379 0.2351 0.9824
C 0.7379 0.2649 0.4824
C 0.9441 0.6514 0.1535
C 0.9441 0.8486 0.6535
N 0.0730 0.1980 0.3020
N 0.0730 0.3020 0.8020
N 0.3376 0.6554 0.5230
N 0.3376 0.8446 0.0230
N 0.4100 0.2497 0.1811
N 0.4100 0.2503 0.6811
N 0.5900 0.7497 0.3189
N 0.5900 0.7503 0.8189
N 0.6624 0.1554 0.9770
N 0.6624 0.3446 0.4770
N 0.9270 0.6980 0.1980
N 0.9270 0.8020 0.6980

Most intense lines, 5° ≤ 2θ ≤ 70°, sorted by position:
2θ 9.1, d = 9.736 Å, I 36; 2θ 9.2, d = 9.561 Å, I 100; 2θ 9.5, d = 9.303 Å, I 29; 2θ 11.4, d = 7.788 Å, I 21; 2θ 33.5, d = 2.677 Å, I 4; 2θ 33.7, d = 2.657 Å, I 3; 2θ 39.6, d = 2.274 Å, I 3; 2θ 41.1, d = 2.197 Å, I 7; 2θ 41.7, d = 2.167 Å, I 4; 2θ 41.9, d = 2.154 Å, I 5

(8)
Structure and calculated powder diffraction line list of PrAu6 (DFT lattice parameters and positions (GGA-PBE); Cu Kα, 1.54184 Å).

Cell and atoms:
Cell: 5.6078 5.6078 9.2725 Å, 97.29 97.29 89.98°
Fractional coordinates of all 14 atoms:
Pr 0.1852 0.8148 0.7500
Pr 0.8148 0.1852 0.2500
Au 0.0411 0.6661 0.1277
Au 0.1156 0.2791 0.5812
Au 0.2791 0.1156 0.0812
Au 0.3339 0.9589 0.3723
Au 0.3431 0.4582 0.3634
Au 0.4582 0.3431 0.8634
Au 0.5418 0.6569 0.1366
Au 0.6569 0.5418 0.6366
Au 0.6661 0.0411 0.6277
Au 0.7209 0.8844 0.9188
Au 0.8844 0.7209 0.4188
Au 0.9589 0.3339 0.8723

Most intense lines, 5° ≤ 2θ ≤ 70°, sorted by position:
2θ 34.9, d = 2.570 Å, I 51; 2θ 35.4, d = 2.535 Å, I 57; 2θ 35.6, d = 2.522 Å, I 77; 2θ 37.8, d = 2.379 Å, I 100; 2θ 38.4, d = 2.347 Å, I 92; 2θ 39.4, d = 2.289 Å, I 47; 2θ 39.5, d = 2.281 Å, I 45; 2θ 40.1, d = 2.250 Å, I 74; 2θ 41.1, d = 2.197 Å, I 57; 2θ 66.7, d = 1.402 Å, I 47